(1)
Computed X-ray powder pattern
Compound: La3SbO2
Radiation: λ = 1.5418 Å (Cu Kα)
Structure: a DFT-relaxed cell (GGA-PBE, Alexandria)
No peak broadening, texture or thermal motion is included.

Peak list (10 most intense, 10 to 80 degrees two-theta, in order of falling intensity)
- hkl 1 1 2, 30.0°, I 100
- hkl 2 0 0, 37.3°, I 35
- hkl 0 0 4, 29.2°, I 31
- hkl 2 0 4, 48.1°, I 31
- hkl 3 1 2, 62.8°, I 25
- hkl 1 1 6, 52.3°, I 24
- hkl 3 1 6, 78.3°, I 15
- hkl 2 2 4, 62.4°, I 14
- hkl 2 2 0, 53.8°, I 12
- hkl 2 0 8, 73.3°, I 8

Cell: 4.8197 4.8197 12.2320 Å, 90.00 90.00 90.00°
Space group I4/mmm (No. 139)
Unique sites:
La 0.0000 0.0000 0.0000 (multiplicity 2)
La 0.0000 0.5000 0.2500 (multiplicity 4)
Sb 0.0000 0.0000 0.5000 (multiplicity 2)
O 0.0000 0.0000 0.1988 (multiplicity 4)


(2)
Computed X-ray powder pattern
Compound: BaErClO2
Radiation: λ = 1.5418 Å (Cu Kα)
Structure: a DFT-relaxed cell (GGA-PBE, Alexandria)
No peak broadening, texture or thermal motion is included.

Peak list (10 most intense, 10 to 80 degrees two-theta, in order of falling intensity)
- hkl 1 0 1, 25.1°, I 100
- hkl 1 0 2, 34.6°, I 63
- hkl 1 1 0, 29.9°, I 50
- hkl 0 0 1, 13.5°, I 42
- hkl 2 1 1, 50.2°, I 31
- hkl 2 1 2, 56.2°, I 31
- hkl 2 0 0, 42.8°, I 27
- hkl 1 1 3, 51.8°, I 24
- hkl 2 0 3, 61.0°, I 13
- hkl 1 1 2, 40.8°, I 11

Cell: 4.2252 4.2252 6.5644 Å, 90.00 90.00 90.00°
Space group P4mm (No. 99)
Unique sites:
Ba 0.0000 0.0000 0.0000 (multiplicity 1)
Er 0.5000 0.5000 0.3317 (multiplicity 1)
Cl 0.5000 0.5000 0.7419 (multiplicity 1)
O 0.0000 0.5000 0.2304 (multiplicity 2)


(3)
Computed X-ray powder pattern
Compound: CrOsRh2
Radiation: λ = 1.5418 Å (Cu Kα)
Structure: a DFT-relaxed cell (GGA-PBE, Alexandria)
No peak broadening, texture or thermal motion is included.

Peak list (10 most intense, 10 to 80 degrees two-theta, in order of falling intensity)
- hkl 1 1 0, 41.0°, I 100
- hkl 0 1 2, 41.3°, I 98
- hkl 1 0 2, 48.0°, I 63
- hkl 2 0 0, 69.9°, I 50
- hkl 0 0 1, 16.6°, I 37
- hkl 0 2 0, 47.5°, I 33
- hkl 0 1 1, 28.7°, I 23
- hkl 1 1 1, 44.5°, I 14
- hkl 1 0 1, 37.4°, I 12
- hkl 0 0 4, 70.6°, I 10

Cell: 2.6898 3.8258 5.3353 Å, 90.00 90.00 90.00°
Space group Pmmm (No. 47)
Unique sites:
Cr 0.0000 0.0000 0.0000 (multiplicity 1)
Os 0.0000 0.0000 0.5000 (multiplicity 1)
Rh 0.5000 0.5000 0.2477 (multiplicity 2)


(4)
Computed X-ray powder pattern
Compound: Ru2Pt4W
Radiation: λ = 1.5418 Å (Cu Kα)
Structure: a DFT-relaxed cell (GGA-PBE, Alexandria)
No peak broadening, texture or thermal motion is included.

Peak list (10 most intense, 10 to 80 degrees two-theta, in order of falling intensity)
- hkl 1 1 2, 39.8°, I 100
- hkl 2 0 -3, 45.6°, I 16
- hkl 0 2 0, 46.3°, I 16
- hkl 4 0 1, 46.8°, I 16
- hkl 2 2 -3, 67.0°, I 11
- hkl 4 2 1, 67.9°, I 10
- hkl 2 0 4, 67.3°, I 5
- hkl 6 0 -2, 67.6°, I 5
- hkl 1 1 -1, 28.0°, I 2
- hkl 2 0 0, 20.6°, I 2

Cell: 8.7114 3.9253 6.2768 Å, 90.00 98.94 90.00°
Space group C2/m (No. 12)
Unique sites:
Ru 0.2128 0.0000 0.1312 (multiplicity 4)
Pt 0.0669 0.0000 0.7238 (multiplicity 4)
Pt 0.1464 0.5000 0.4211 (multiplicity 4)
W 0.0000 0.5000 0.0000 (multiplicity 2)